[1]
The following is a theoretical powder diffraction line list of Ho3Th2Sc. It was derived from DFT lattice parameters and positions (GGA-PBE), using Cu Ka.
Peak positions follow from Bragg's law for the DFT cell and can differ from measured ones.

The 10 most intense peaks (2θ = 15–90°), in order of falling intensity:
| two_theta | intensity | (hkl) |
| --- | --- | --- |
| 31.23 | 100 | 2 0 -3 |
| 36.16 | 45 | 0 1 3 |
| 31.55 | 32 | 2 0 3 |
| 36.60 | 21 | 4 0 0 |
| 52.23 | 16 | 4 1 -3 |
| 52.57 | 15 | 4 1 3 |
| 62.40 | 14 | 2 1 6 |
| 61.75 | 10 | 2 2 -3 |
| 61.90 | 10 | 2 2 3 |
| 62.07 | 10 | 2 1 -6 |

Cell and atoms:
```
Ho3Th2Sc
1.0
9.821 0.000 0.000
0.000 3.532 0.000
-0.090 0.000 10.482
Ho Th Sc
6 4 2
direct
0.122 0.250 0.251
0.137 0.250 0.917
0.374 0.750 0.416
0.626 0.250 0.584
0.863 0.750 0.083
0.878 0.750 0.749
0.128 0.250 0.585
0.383 0.750 0.087
0.617 0.250 0.913
0.872 0.750 0.415
0.375 0.750 0.750
0.625 0.250 0.250
```


[2]
The following is a theoretical powder diffraction line list of HoTh3Sc6. It was derived from DFT lattice parameters and positions (GGA-PBE), using Cu Ka.
Peak positions follow from Bragg's law for the DFT cell and can differ from measured ones.

The 10 most intense peaks (2θ = 15–90°), in order of falling intensity:
| two_theta | intensity | (hkl) |
| --- | --- | --- |
| 33.25 | 100 | 2 0 1 |
| 34.59 | 56 | 1 1 -2 |
| 22.33 | 45 | 1 0 2 |
| 34.98 | 36 | 1 2 1 |
| 18.63 | 34 | 0 1 -1 |
| 30.53 | 19 | 0 2 0 |
| 26.59 | 17 | 1 1 2 |
| 62.81 | 13 | 2 0 6 |
| 45.73 | 13 | 2 -2 1 |
| 38.35 | 12 | 2 1 0 |

Cell and atoms:
```
HoTh3Sc6
1.0
5.395 0.000 0.000
0.008 5.866 0.000
2.694 0.497 8.848
Ho Th Sc
1 3 6
direct
0.000 0.000 0.000
0.300 0.570 0.400
0.394 0.114 0.212
0.697 0.696 0.607
0.099 0.515 0.802
0.190 0.037 0.620
0.504 0.644 0.992
0.594 0.175 0.812
0.782 0.182 0.437
0.913 0.509 0.176
```


[3]
The following is a theoretical powder diffraction line list of HoTh2Sc8. It was derived from DFT lattice parameters and positions (GGA-PBE), using Cu Ka.
Peak positions follow from Bragg's law for the DFT cell and can differ from measured ones.

The 10 most intense peaks (2θ = 15–90°), in order of falling intensity:
| two_theta | intensity | (hkl) |
| --- | --- | --- |
| 32.83 | 100 | 0 2 1 |
| 32.88 | 33 | 1 -1 2 |
| 16.51 | 31 | 1 0 0 |
| 37.55 | 23 | 1 0 -3 |
| 38.01 | 22 | 1 -3 1 |
| 38.75 | 22 | 2 1 0 |
| 21.97 | 17 | -1 1 1 |
| 66.42 | 16 | 2 3 1 |
| 55.06 | 15 | 1 1 3 |
| 54.50 | 15 | 0 3 -4 |

Cell and atoms:
```
HoTh2Sc8
1.0
5.739 0.000 0.000
-1.044 7.402 0.000
-2.029 -2.548 6.824
Ho Th Sc
1 2 8
direct
0.000 0.000 0.000
0.094 0.812 0.364
0.906 0.188 0.636
0.184 0.637 0.727
0.271 0.458 0.088
0.357 0.278 0.457
0.447 0.093 0.815
0.553 0.907 0.185
0.643 0.722 0.543
0.729 0.542 0.912
0.816 0.363 0.273
```


[4]
The following is a theoretical powder diffraction line list of HoTh2Sc9. It was derived from DFT lattice parameters and positions (GGA-PBE), using Cu Ka.
Peak positions follow from Bragg's law for the DFT cell and can differ from measured ones.

The 10 most intense peaks (2θ = 15–90°), in order of falling intensity:
| two_theta | intensity | (hkl) |
| --- | --- | --- |
| 32.89 | 100 | 1 1 3 |
| 26.73 | 55 | 1 1 0 |
| 18.85 | 41 | 1 0 0 |
| 38.24 | 33 | 2 0 0 |
| 65.76 | 26 | 3 1 3 |
| 55.00 | 22 | 2 0 6 |
| 42.94 | 22 | 2 1 0 |
| 18.73 | 21 | 0 0 3 |
| 37.98 | 17 | 0 0 6 |
| 47.25 | 17 | 2 1 3 |

Cell and atoms:
```
HoTh2Sc9
1.0
4.707 0.000 0.000
0.000 4.707 0.000
0.000 0.000 14.215
Ho Th Sc
1 2 9
direct
0.000 0.000 0.000
0.000 0.000 0.334
0.000 0.000 0.666
0.000 0.500 0.168
0.000 0.500 0.500
0.000 0.500 0.832
0.500 0.000 0.168
0.500 0.000 0.500
0.500 0.000 0.832
0.500 0.500 0.000
0.500 0.500 0.333
0.500 0.500 0.667
```